No. 1
This entry pairs a crystal structure of K2PaIO6 with its theoretical powder X-ray diffraction pattern. Radiation: Cu Kα (weighted mean of Kα1 and Kα2). Structure: the GGA-PBE geometry in Alexandria.
Peak positions follow from Bragg's law for the DFT cell and can differ from measured ones.

Top 12 peaks for 2θ = 5–70°, most intense first:
| Position (°2θ) | I_rel | index |
| --- | --- | --- |
| 29.30 | 100 | 1 1 1 |
| 20.60 | 68 | 2 0 0 |
| 51.95 | 37 | 2 0 2 |
| 41.91 | 33 | 4 0 0 |
| 47.14 | 32 | 3 1 1 |
| 68.86 | 15 | 5 3 -3 |
| 60.75 | 13 | 2 2 2 |
| 17.82 | 12 | 2 0 -1 |
| 64.87 | 11 | 3 3 -3 |
| 34.50 | 8 | 4 0 -1 |
| 36.09 | 7 | 4 0 -2 |
| 60.82 | 7 | 6 2 -2 |

Structural model:
```
data_K2PaIO6
_chemical_formula_sum 'K4 Pa2 I2 O12'
_symmetry_space_group_name_H-M 'C 1 m 1'
_symmetry_Int_Tables_number 8
_cell_length_a 10.546
_cell_length_b 6.102
_cell_length_c 6.095
_cell_angle_alpha 90.00
_cell_angle_beta 125.21
_cell_angle_gamma 90.00
loop_
_symmetry_equiv_pos_as_xyz
'x,y,z'
'x,-y,z'
'x+1/2,y+1/2,z'
'x+1/2,-y+1/2,z'
loop_
_atom_site_label
_atom_site_fract_x
_atom_site_fract_y
_atom_site_fract_z
K1 0.000 0.000 0.000
K2 0.000 0.500 0.500
Pa1 0.249 0.500 0.251
I1 0.247 0.000 0.754
O1 0.004 0.500 0.004
O2 0.012 0.000 0.512
O3 0.250 0.237 0.987
O4 0.250 0.255 0.494
```



No. 2
This entry pairs a crystal structure of BaCo2Ru with its theoretical powder X-ray diffraction pattern. Radiation: Cu Kα (weighted mean of Kα1 and Kα2). Structure: the GGA-PBE geometry in Alexandria.
Peak positions follow from Bragg's law for the DFT cell and can differ from measured ones.

Top 12 peaks for 2θ = 5–70°, most intense first:
| Position (°2θ) | I_rel | index |
| --- | --- | --- |
| 43.51 | 100 | 1 1 0 |
| 54.54 | 79 | 1 1 6 |
| 32.44 | 67 | 1 0 4 |
| 31.25 | 66 | 0 0 6 |
| 25.26 | 66 | 1 0 1 |
| 36.13 | 64 | 0 1 5 |
| 15.48 | 30 | 0 0 3 |
| 59.65 | 27 | 1 0 10 |
| 26.84 | 20 | 0 1 2 |
| 57.80 | 16 | 2 0 5 |
| 65.14 | 16 | 0 1 11 |
| 55.30 | 14 | 0 2 4 |

Structural model:
```
data_BaCo2Ru
_chemical_formula_sum 'Ba3 Co6 Ru3'
_symmetry_space_group_name_H-M 'R 3 m'
_symmetry_Int_Tables_number 160
_symmetry_space_group_name_Hall 'R 3 -2"'
_cell_length_a 4.1602
_cell_length_b 4.1602
_cell_length_c 17.1713
_cell_angle_alpha 90.00
_cell_angle_beta 90.00
_cell_angle_gamma 120.00
loop_
_atom_site_label
_atom_site_fract_x
_atom_site_fract_y
_atom_site_fract_z
Ba1 0.0000 0.0000 0.0000
Co1 0.0000 0.0000 0.4992
Co2 0.0000 0.0000 0.8149
Ru1 0.0000 0.0000 0.1870
```



No. 3
This entry pairs a crystal structure of ScAuS2 with its theoretical powder X-ray diffraction pattern. Radiation: Cu Kα (weighted mean of Kα1 and Kα2). Structure: the GGA-PBE geometry in Alexandria.
Peak positions follow from Bragg's law for the DFT cell and can differ from measured ones.

Top 12 peaks for 2θ = 5–70°, most intense first:
| Position (°2θ) | I_rel | index |
| --- | --- | --- |
| 9.81 | 100 | 0 1 0 |
| 19.69 | 44 | 0 2 0 |
| 30.31 | 38 | 1 1 0 |
| 36.57 | 31 | 0 1 2 |
| 31.12 | 25 | 1 1 -2 |
| 35.68 | 24 | 1 2 -2 |
| 28.61 | 23 | 1 0 0 |
| 42.34 | 21 | 1 3 -2 |
| 34.97 | 19 | 1 2 0 |
| 29.72 | 16 | 0 3 0 |
| 40.60 | 15 | 0 2 2 |
| 48.33 | 14 | 2 1 -2 |

Structural model:
```
data_ScAuS2
_chemical_formula_sum 'Sc2 Au2 S4'
_symmetry_space_group_name_H-M 'P 1 2/c 1'
_symmetry_Int_Tables_number 13
_cell_length_a 3.853
_cell_length_b 9.019
_cell_length_c 6.308
_cell_angle_alpha 90.00
_cell_angle_beta 125.93
_cell_angle_gamma 90.00
loop_
_symmetry_equiv_pos_as_xyz
'x,y,z'
'-x,-y,-z'
'-x,y,-z+1/2'
'x,-y,z+1/2'
loop_
_atom_site_label
_atom_site_fract_x
_atom_site_fract_y
_atom_site_fract_z
Sc1 0.000 0.114 0.250
Au1 0.500 0.500 0.000
S1 0.500 0.080 0.750
S2 0.500 0.307 0.250
```



No. 4
This entry pairs a crystal structure of Ca3PI3 with its theoretical powder X-ray diffraction pattern. Radiation: Cu Kα (weighted mean of Kα1 and Kα2). Structure: the GGA-PBE geometry in Alexandria.
Peak positions follow from Bragg's law for the DFT cell and can differ from measured ones.

Top 12 peaks for 2θ = 5–70°, most intense first:
| Position (°2θ) | I_rel | index |
| --- | --- | --- |
| 28.53 | 100 | 2 1 0 |
| 28.69 | 49 | 0 0 4 |
| 24.95 | 40 | 0 1 2 |
| 41.18 | 36 | 2 1 4 |
| 40.63 | 35 | 2 1 -4 |
| 24.20 | 24 | 2 0 -2 |
| 24.64 | 22 | 2 0 2 |
| 41.45 | 19 | 0 2 0 |
| 51.19 | 19 | 0 2 4 |
| 40.11 | 17 | 4 0 0 |
| 48.60 | 15 | 0 1 6 |
| 59.05 | 11 | 4 2 0 |

Structural model:
```
data_Ca3PI3
_chemical_formula_sum 'Ca6 P2 I6'
_symmetry_space_group_name_H-M 'P 1 21/m 1'
_symmetry_Int_Tables_number 11
_cell_length_a 8.995
_cell_length_b 4.357
_cell_length_c 12.447
_cell_angle_alpha 90.00
_cell_angle_beta 91.07
_cell_angle_gamma 90.00
loop_
_symmetry_equiv_pos_as_xyz
'x,y,z'
'-x,-y,-z'
'-x,y+1/2,-z'
'x,-y+1/2,z'
loop_
_atom_site_label
_atom_site_fract_x
_atom_site_fract_y
_atom_site_fract_z
Ca1 0.090 0.250 0.392
Ca2 0.127 0.250 0.852
Ca3 0.331 0.750 0.627
P1 0.123 0.250 0.624
I1 0.125 0.250 0.125
I2 0.373 0.750 0.877
I3 0.379 0.750 0.373
```